GaNi3H: calculated powder diffraction line list (Cu Kα (λ = 1.5418 Å)), based on a GGA-PBE-relaxed structure.

Largest 5 diffraction maxima, by angle, 10° ≤ 2θ ≤ 80°:
- 2θ 43.2, d = 2.094 Å, rel. 100, (1 1 1)
- 2θ 50.3, d = 1.816 Å, rel. 32, (2 0 0)
- 2θ 50.4, d = 1.809 Å, rel. 16, (0 0 2)
- 2θ 73.8, d = 1.284 Å, rel. 9, (2 2 0)
- 2θ 74.0, d = 1.282 Å, rel. 19, (2 0 2)

Atomic structure:
Cell: 3.6311 3.6311 3.6187 Å, 90.00 90.00 90.00°
Element x y z (fractional)
Ga1 0.0000 0.0000 0.0000
Ni1 0.0000 0.5000 0.5000
Ni2 0.5000 0.0000 0.5000
Ni3 0.5000 0.5000 0.0000
H1 0.5000 0.5000 0.5000